[1]
For KCuIF2, a crystal structure in Alexandria, relaxed with GGA-PBE gives the computed powder diffraction line list in this record (Cu Kα X-rays).
Intensities are scaled so that the largest is 100.

Structure:
a b c (Å): 3.968 3.968 7.183
angles (deg): 90.00 90.00 90.00
Space group P4mm (No. 99)
Inequivalent atoms, fractional coordinates:
1 K 0.000 0.000 0.000 x1
2 Cu 0.500 0.500 0.311 x1
3 I 0.500 0.500 0.684 x1
4 F 0.000 0.500 0.237 x2

Largest 10 diffraction maxima, by angle, 10 to 90 degrees two-theta:
2theta  I (rel.)
22.40  98
24.79  33
25.65  100
31.89  65
33.66  96
34.31  27
44.18  28
45.73  45
50.08  51
57.96  38


[2]
For Dy3Te2Pd, a crystal structure in Alexandria, relaxed with GGA-PBE gives the computed powder diffraction line list in this record (Cu Kα X-rays).
Intensities are scaled so that the largest is 100.

Structure:
a b c (Å): 7.298 12.695 7.680
angles (deg): 90.00 108.81 90.00
Space group C2/m (No. 12)
Inequivalent atoms, fractional coordinates:
1 Dy 0.214 0.000 0.220 x4
2 Dy 0.244 0.179 0.773 x8
3 Te 0.000 0.000 0.500 x2
4 Te 0.000 0.344 0.500 x4
5 Te 0.000 0.500 0.000 x2
6 Pd 0.000 0.170 0.000 x4

Largest 10 diffraction maxima, by angle, 10 to 90 degrees two-theta:
2theta  I (rel.)
29.41  100
41.23  25
41.47  12
42.73  11
42.88  23
52.70  13
61.06  7
67.95  9
70.32  9
77.25  6